Starting from a PBE-relaxed structure, the X-ray diffraction stick pattern of TiP4O12 was simulated for copper Kα.
Intensities are scaled so that the largest is 100.

Structure:
Cell lengths 8.259, 11.272, 9.596 Å; angles 90.00, 93.77, 90.00 degrees
Space group C2/c (No. 15)
Asymmetric unit:
1 Ti 0.000 0.107 0.250
2 P 0.033 0.314 0.026
3 P 0.247 0.029 0.534
4 O 0.020 0.263 0.609
5 O 0.097 0.234 0.147
6 O 0.106 0.394 0.403
7 O 0.144 0.003 0.655
8 O 0.162 0.091 0.410
9 O 0.178 0.411 0.022

The 8 most intense peaks (2θ = 10–90°), sorted by position:
2θ/deg, I_rel, h k l
15.80, 56, 1 1 -1
16.62, 45, 1 1 1
18.53, 74, 0 0 2
23.46, 85, 1 1 2
26.80, 100, 2 2 0
27.46, 56, 1 3 -1
31.74, 38, 1 3 -2
31.94, 50, 2 2 -2